# 1
K2Mg2Nb4O13: theoretical PXRD pattern (CuKα), based on the PBE geometry in OQMD.

Largest 8 diffraction maxima, by angle, 2θ = 10–80°:
2θ = 11.35°, intensity 32; 2θ = 13.58°, intensity 100; 2θ = 22.82°, intensity 41; 2θ = 23.47°, intensity 54; 2θ = 28.58°, intensity 83; 2θ = 29.06°, intensity 64; 2θ = 32.12°, intensity 40; 2θ = 46.48°, intensity 40

Cell and atoms:
Cell: 8.1305 8.1305 9.4934 Å, 98.84 98.84 27.81°
Sites, in units of the cell vectors:
K: 0.0537 0.0537 0.2514
K: 0.9463 0.9463 0.7486
Mg: 0.2633 0.2633 0.7402
Mg: 0.7367 0.7367 0.2598
Nb: 0.3386 0.3386 0.0694
Nb: 0.3779 0.3779 0.4197
Nb: 0.6221 0.6221 0.5803
Nb: 0.6614 0.6614 0.9306
O: 0.1311 0.1311 0.6147
O: 0.2000 0.2000 0.9317
O: 0.2709 0.2709 0.2581
O: 0.3338 0.3338 0.5853
O: 0.3722 0.3722 0.8922
O: 0.4364 0.4364 0.2017
O: 0.5000 0.5000 0.5000
O: 0.5636 0.5636 0.7983
O: 0.6278 0.6278 0.1078
O: 0.6662 0.6662 0.4147
O: 0.7291 0.7291 0.7419
O: 0.8000 0.8000 0.0683
O: 0.8689 0.8689 0.3853


# 2
Na2AgSnF7: theoretical PXRD pattern (CuKα), based on the PBE geometry in OQMD.

Largest 8 diffraction maxima, by angle, 2θ = 10–80°:
2θ = 13.86°, intensity 63; 2θ = 17.02°, intensity 49; 2θ = 23.87°, intensity 64; 2θ = 27.92°, intensity 87; 2θ = 30.94°, intensity 100; 2θ = 34.42°, intensity 36; 2θ = 48.87°, intensity 69; 2θ = 56.00°, intensity 41

Cell and atoms:
Cell: 10.6694 6.8783 7.9814 Å, 90.00 90.00 90.00°
Sites, in units of the cell vectors:
Na: 0.0000 0.0000 0.0000
Na: 0.0000 0.5000 0.0000
Na: 0.2347 0.2500 0.2530
Na: 0.2653 0.7500 0.7530
Na: 0.5000 0.0000 0.5000
Na: 0.5000 0.5000 0.5000
Na: 0.7347 0.2500 0.2470
Na: 0.7653 0.7500 0.7470
Ag: 0.0000 0.0000 0.5000
Ag: 0.0000 0.5000 0.5000
Ag: 0.5000 0.0000 0.0000
Ag: 0.5000 0.5000 0.0000
Sn: 0.2495 0.7500 0.2551
Sn: 0.2505 0.2500 0.7551
Sn: 0.7495 0.7500 0.2449
Sn: 0.7505 0.2500 0.7449
F: 0.0043 0.2500 0.3156
F: 0.1266 0.5457 0.2002
F: 0.1266 0.9543 0.2002
F: 0.1342 0.0350 0.8058
F: 0.1342 0.4650 0.8058
F: 0.2032 0.2500 0.5174
F: 0.2061 0.7500 0.4950
F: 0.2939 0.2500 0.9950
F: 0.2968 0.7500 0.0174
F: 0.3658 0.5350 0.3058
F: 0.3658 0.9650 0.3058
F: 0.3734 0.0457 0.7002
F: 0.3734 0.4543 0.7002
F: 0.4957 0.7500 0.8156
F: 0.5043 0.2500 0.1844
F: 0.6266 0.5457 0.2998
F: 0.6266 0.9543 0.2998
F: 0.6342 0.0350 0.6942
F: 0.6342 0.4650 0.6942
F: 0.7032 0.2500 0.9826
F: 0.7061 0.7500 0.0050
F: 0.7939 0.2500 0.5050
F: 0.7968 0.7500 0.4826
F: 0.8658 0.5350 0.1942
F: 0.8658 0.9650 0.1942
F: 0.8734 0.0457 0.7998
F: 0.8734 0.4543 0.7998
F: 0.9957 0.7500 0.6844


# 3
CuAg8: theoretical PXRD pattern (CuKα), based on the PBE geometry in OQMD.

Largest 8 diffraction maxima, by angle, 2θ = 10–80°:
2θ = 37.97°, intensity 100; 2θ = 38.04°, intensity 32; 2θ = 43.71°, intensity 45; 2θ = 45.02°, intensity 19; 2θ = 63.54°, intensity 14; 2θ = 64.47°, intensity 12; 2θ = 76.43°, intensity 16; 2θ = 76.54°, intensity 15

Cell and atoms:
Cell: 5.0446 5.0446 11.9383 Å, 111.87 111.87 33.74°
Sites, in units of the cell vectors:
Cu: 0.0000 0.0000 0.0000
Ag: 0.1078 0.1078 0.4408
Ag: 0.2388 0.2388 0.8953
Ag: 0.3261 0.3261 0.3308
Ag: 0.4593 0.4593 0.7905
Ag: 0.5407 0.5407 0.2095
Ag: 0.6739 0.6739 0.6692
Ag: 0.7612 0.7612 0.1047
Ag: 0.8922 0.8922 0.5592